Starting from a structure optimized by DFT (GGA-PBE), the XRD peak list of Tm3Sn2Pd6 was calculated for Cu Kα X-rays.
Peak positions follow from Bragg's law for the DFT cell and can differ from measured ones.

Cell and atoms:
```
data_Tm3Sn2Pd6
_space_group_name_H-M_alt 'I m -3 m'
_space_group_IT_number 229
_space_group_name_Hall '-I 4 2 3'
_cell_length_a 9.6089
_cell_length_b 9.6089
_cell_length_c 9.6089
_cell_angle_alpha 90.00
_cell_angle_beta 90.00
_cell_angle_gamma 90.00
loop_
_atom_site_label
_atom_site_type_symbol
_atom_site_fract_x
_atom_site_fract_y
_atom_site_fract_z
_atom_site_occupancy
Tm1 Tm 0.0000 0.0000 0.2899 1
Sn1 Sn 0.2500 0.2500 0.2500 1
Pd1 Pd 0.0000 0.3437 0.3437 1
```

Largest 8 diffraction maxima, in order of falling intensity, 10 to 80 degrees two-theta:
d [Å], 2theta, Rel. int., hkl
2.265, 39.80, 100, 3 3 0
2.774, 32.27, 35, 2 2 2
1.308, 72.25, 27, 6 3 3
2.568, 34.94, 25, 3 2 1
1.449, 64.31, 19, 6 2 2
3.039, 29.39, 18, 3 1 0
2.402, 37.44, 17, 4 0 0
2.149, 42.05, 14, 4 2 0